1.
Starting from a DFT-relaxed cell (PBE, Alexandria), the powder X-ray diffraction pattern of Eu3BeO5 was calculated for Cu Kα X-rays.

Structure:
abc: 9.534 7.198 6.571
angles: 90.00 90.00 90.00
Sites, in units of the cell vectors:
Eu (0.021, 0.250, 0.090)
Eu (0.174, 0.021, 0.580)
Eu (0.174, 0.479, 0.580)
Eu (0.326, 0.521, 0.080)
Eu (0.326, 0.979, 0.080)
Eu (0.479, 0.750, 0.590)
Eu (0.521, 0.250, 0.410)
Eu (0.674, 0.021, 0.920)
Eu (0.674, 0.479, 0.920)
Eu (0.826, 0.521, 0.420)
Eu (0.826, 0.979, 0.420)
Eu (0.979, 0.750, 0.910)
Be (0.102, 0.750, 0.306)
Be (0.398, 0.250, 0.806)
Be (0.602, 0.750, 0.194)
Be (0.898, 0.250, 0.694)
O (0.010, 0.750, 0.518)
O (0.072, 0.556, 0.192)
O (0.072, 0.944, 0.192)
O (0.222, 0.750, 0.836)
O (0.225, 0.250, 0.863)
O (0.275, 0.750, 0.363)
O (0.278, 0.250, 0.336)
O (0.428, 0.056, 0.692)
O (0.428, 0.444, 0.692)
O (0.490, 0.250, 0.018)
O (0.510, 0.750, 0.982)
O (0.572, 0.556, 0.308)
O (0.572, 0.944, 0.308)
O (0.722, 0.750, 0.664)
O (0.725, 0.250, 0.637)
O (0.775, 0.750, 0.137)
O (0.778, 0.250, 0.164)
O (0.928, 0.056, 0.808)
O (0.928, 0.444, 0.808)
O (0.990, 0.250, 0.482)

Most intense lines, 2θ from 10° to 80°, in order of rising 2θ:
2theta, I_rel
28.74, 48
29.82, 86
31.14, 65
31.27, 100
38.28, 53
40.26, 41



2.
Starting from a DFT-relaxed cell (PBE, Alexandria), the powder X-ray diffraction pattern of ZnFe2W was calculated for Cu Kα X-rays.

Structure:
abc: 2.984 2.984 5.694
angles: 90.00 90.00 90.00
Sites, in units of the cell vectors:
Zn (0.000, 0.000, 0.000)
Fe (0.500, 0.500, 0.255)
Fe (0.500, 0.500, 0.745)
W (0.000, 0.000, 0.500)

Most intense lines, 2θ from 10° to 80°, in order of rising 2θ:
2theta, I_rel
15.56, 31
29.94, 18
42.86, 54
43.96, 100
62.22, 17
79.28, 33



3.
Starting from a DFT-relaxed cell (PBE, Alexandria), the powder X-ray diffraction pattern of Ba4BiO6 was calculated for Cu Kα X-rays.

Structure:
abc: 7.587 7.587 7.587
angles: 90.17 90.17 90.17
Sites, in units of the cell vectors:
Ba (0.110, 0.750, 0.390)
Ba (0.250, 0.250, 0.250)
Ba (0.250, 0.610, 0.890)
Ba (0.390, 0.110, 0.750)
Ba (0.610, 0.890, 0.250)
Ba (0.750, 0.390, 0.110)
Ba (0.750, 0.750, 0.750)
Ba (0.890, 0.250, 0.610)
Bi (0.000, 0.000, 0.000)
Bi (0.500, 0.500, 0.500)
O (0.057, 0.925, 0.710)
O (0.075, 0.290, 0.943)
O (0.210, 0.425, 0.557)
O (0.290, 0.943, 0.075)
O (0.425, 0.557, 0.210)
O (0.443, 0.790, 0.575)
O (0.557, 0.210, 0.425)
O (0.575, 0.443, 0.790)
O (0.710, 0.057, 0.925)
O (0.790, 0.575, 0.443)
O (0.925, 0.710, 0.057)
O (0.943, 0.075, 0.290)

Most intense lines, 2θ from 10° to 80°, in order of rising 2θ:
2theta, I_rel
16.52, 33
26.29, 54
28.78, 100
37.51, 40
39.38, 28
51.03, 40



Which formula does entry 2 have?
ZnFe2W